For Sr4MgMn2Ga2O11, a cell relaxed with GGA+U gives the calculated powder X-ray diffraction pattern in this record (copper Kα).
Kinematic intensities with the Lorentz-polarization factor, no thermal factor.

Peak list (6 most intense, 2θ from 10° to 80°, by angle)
d_spacing	intensity	(hkl)
3.225	68.7	0 2 1
2.988	72.9	1 1 -1
2.816	96.4	2 0 1
2.772	80.0	1 1 3
2.763	87.9	-1 1 2
2.751	100.0	1 -1 2

Atomic structure:
Lattice parameters (Å, degrees): 5.6661 6.4908 8.4883 68.62 71.25 84.35
Space group P1 (No. 1)
Inequivalent atoms, fractional coordinates:
Sr  0.0000  0.0000  0.0000 (multiplicity 1)
Sr  0.1588  0.3805  0.5244 (multiplicity 1)
Sr  0.5211  0.5688  0.9649 (multiplicity 1)
Sr  0.8359  0.9688  0.4630 (multiplicity 1)
Mg  0.6084  0.5758  0.5468 (multiplicity 1)
Mn  0.1173  0.7268  0.7349 (multiplicity 1)
Mn  0.5599  0.1427  0.7685 (multiplicity 1)
Ga  0.4221  0.0490  0.2407 (multiplicity 1)
Ga  0.8809  0.4447  0.2279 (multiplicity 1)
O  0.1712  0.2665  0.2643 (multiplicity 1)
O  0.3357  0.3937  0.7761 (multiplicity 1)
O  0.3489  0.8029  0.4582 (multiplicity 1)
O  0.3678  0.8842  0.7596 (multiplicity 1)
O  0.4668  0.9859  0.0351 (multiplicity 1)
O  0.6322  0.2993  0.5011 (multiplicity 1)
O  0.7110  0.2155  0.1876 (multiplicity 1)
O  0.8525  0.5939  0.6849 (multiplicity 1)
O  0.8967  0.0362  0.7193 (multiplicity 1)
O  0.8969  0.6795  0.3104 (multiplicity 1)
O  0.9401  0.6307  0.9919 (multiplicity 1)